Entry 1:
Diffraction record for Li2Pr5Te6. The X-ray powder pattern is simulated, not measured: it uses a structure optimized by DFT (PBE) and Cu Ka.

Structure:
Cell lengths 11.795, 15.283, 4.349 Å; angles 90.00, 90.00, 90.00 degrees
Atoms (fractional coordinates):
Li  0.168  0.227  0.000
Li  0.332  0.727  0.000
Li  0.668  0.273  0.000
Li  0.832  0.773  0.000
Pr  0.000  0.500  0.500
Pr  0.086  0.739  0.500
Pr  0.158  0.005  0.500
Pr  0.342  0.505  0.500
Pr  0.414  0.239  0.500
Pr  0.500  0.000  0.500
Pr  0.586  0.761  0.500
Pr  0.658  0.495  0.500
Pr  0.842  0.995  0.500
Pr  0.914  0.261  0.500
Te  0.015  0.884  0.000
Te  0.164  0.593  0.000
Te  0.171  0.337  0.500
Te  0.329  0.837  0.500
Te  0.336  0.093  0.000
Te  0.485  0.384  0.000
Te  0.515  0.616  0.000
Te  0.664  0.907  0.000
Te  0.671  0.163  0.500
Te  0.829  0.663  0.500
Te  0.836  0.407  0.000
Te  0.985  0.116  0.000

Most intense lines, 10 to 90 degrees two-theta, sorted by position:
2θ = 20.42°, I 16
2θ = 24.73°, I 22
2θ = 28.68°, I 49
2θ = 31.00°, I 33
2θ = 31.19°, I 100
2θ = 35.47°, I 19
2θ = 37.28°, I 36
2θ = 41.07°, I 14
2θ = 41.53°, I 27
2θ = 51.25°, I 19
2θ = 63.38°, I 14
2θ = 63.49°, I 21


Entry 2:
Diffraction record for Li4Pr2Tl3. The X-ray powder pattern is simulated, not measured: it uses a structure optimized by DFT (PBE) and Cu Ka.

Structure:
Cell lengths 9.045, 9.045, 7.355 Å; angles 90.00, 90.00, 135.26 degrees
Atoms (fractional coordinates):
Li  0.165  0.835  0.000
Li  0.198  0.302  0.250
Li  0.302  0.198  0.750
Li  0.335  0.665  0.500
Li  0.665  0.335  0.500
Li  0.698  0.802  0.250
Li  0.802  0.698  0.750
Li  0.835  0.165  0.000
Pr  0.116  0.884  0.429
Pr  0.384  0.616  0.929
Pr  0.616  0.384  0.071
Pr  0.884  0.116  0.571
Tl  0.000  0.000  0.000
Tl  0.015  0.485  0.250
Tl  0.485  0.015  0.750
Tl  0.500  0.500  0.500
Tl  0.515  0.985  0.250
Tl  0.985  0.515  0.750

Most intense lines, 10 to 90 degrees two-theta, sorted by position:
2θ = 10.58°, I 27
2θ = 23.83°, I 82
2θ = 26.48°, I 99
2θ = 28.03°, I 100
2θ = 32.14°, I 67
2θ = 32.42°, I 21
2θ = 33.72°, I 31
2θ = 35.73°, I 82
2θ = 40.61°, I 22
2θ = 41.93°, I 28
2θ = 57.32°, I 27
2θ = 57.93°, I 29


Entry 3:
Diffraction record for Li6PrTl6. The X-ray powder pattern is simulated, not measured: it uses a structure optimized by DFT (PBE) and Cu Ka.

Structure:
Cell lengths 7.535, 7.535, 7.535 Å; angles 133.37, 99.41, 98.62 degrees
Atoms (fractional coordinates):
Li  0.000  0.000  0.500
Li  0.000  0.500  0.000
Li  0.237  0.000  0.237
Li  0.500  0.000  0.000
Li  0.500  0.500  0.500
Li  0.763  0.000  0.763
Pr  0.000  0.500  0.500
Tl  0.180  0.180  0.000
Tl  0.340  0.500  0.840
Tl  0.341  0.841  0.500
Tl  0.659  0.159  0.500
Tl  0.660  0.500  0.160
Tl  0.820  0.820  0.000

Most intense lines, 10 to 90 degrees two-theta, sorted by position:
2θ = 18.20°, I 58
2θ = 25.28°, I 32
2θ = 25.75°, I 18
2θ = 29.96°, I 57
2θ = 31.15°, I 100
2θ = 35.28°, I 26
2θ = 36.36°, I 76
2θ = 41.08°, I 19
2θ = 53.95°, I 22
2θ = 57.45°, I 21
2θ = 65.43°, I 17
2θ = 66.09°, I 24


Entry 4:
Diffraction record for LiPr2Tl3. The X-ray powder pattern is simulated, not measured: it uses a structure optimized by DFT (PBE) and Cu Ka.

Structure:
Cell lengths 10.063, 9.499, 6.283 Å; angles 76.22, 66.45, 37.33 degrees
Atoms (fractional coordinates):
Li  0.168  0.168  0.832
Li  0.832  0.832  0.168
Pr  0.250  0.250  0.250
Pr  0.254  0.746  0.746
Pr  0.746  0.254  0.254
Pr  0.750  0.750  0.750
Tl  0.150  0.675  0.325
Tl  0.325  0.850  0.150
Tl  0.326  0.326  0.674
Tl  0.674  0.674  0.326
Tl  0.675  0.150  0.850
Tl  0.850  0.325  0.675

Most intense lines, 10 to 90 degrees two-theta, sorted by position:
2θ = 21.23°, I 18
2θ = 23.60°, I 10
2θ = 29.61°, I 17
2θ = 31.38°, I 100
2θ = 35.70°, I 79
2θ = 43.24°, I 11
2θ = 48.26°, I 41
2θ = 61.46°, I 61
2θ = 64.14°, I 13
2θ = 79.35°, I 7
2θ = 84.12°, I 11
2θ = 84.20°, I 12


Entry 5:
Diffraction record for Li3PrTl3. The X-ray powder pattern is simulated, not measured: it uses a structure optimized by DFT (PBE) and Cu Ka.

Structure:
Cell lengths 7.172, 7.172, 7.172 Å; angles 90.00, 90.00, 90.00 degrees
Atoms (fractional coordinates):
Li  0.000  0.250  0.500
Li  0.000  0.750  0.500
Li  0.250  0.500  0.000
Li  0.500  0.000  0.250
Li  0.500  0.000  0.750
Li  0.750  0.500  0.000
Pr  0.000  0.000  0.000
Pr  0.500  0.500  0.500
Tl  0.000  0.500  0.250
Tl  0.000  0.500  0.750
Tl  0.250  0.000  0.500
Tl  0.500  0.250  0.000
Tl  0.500  0.750  0.000
Tl  0.750  0.000  0.500

Most intense lines, 10 to 90 degrees two-theta, sorted by position:
2θ = 24.83°, I 27
2θ = 27.82°, I 100
2θ = 30.53°, I 63
2θ = 43.72°, I 15
2θ = 45.61°, I 27
2θ = 47.43°, I 38
2θ = 50.93°, I 18
2θ = 59.02°, I 25
2θ = 70.74°, I 22
2θ = 72.14°, I 11
2θ = 74.90°, I 12
2θ = 83.00°, I 11


Entry 6:
Diffraction record for Li5Pr3Tl6. The X-ray powder pattern is simulated, not measured: it uses a structure optimized by DFT (PBE) and Cu Ka.

Structure:
Cell lengths 4.939, 14.655, 9.417 Å; angles 90.00, 90.00, 90.00 degrees
Atoms (fractional coordinates):
Li  0.250  0.094  0.106
Li  0.250  0.406  0.106
Li  0.250  0.619  0.459
Li  0.250  0.750  0.226
Li  0.250  0.881  0.459
Li  0.750  0.119  0.541
Li  0.750  0.250  0.774
Li  0.750  0.381  0.541
Li  0.750  0.594  0.894
Li  0.750  0.906  0.894
Pr  0.250  0.035  0.741
Pr  0.250  0.465  0.741
Pr  0.250  0.750  0.771
Pr  0.750  0.250  0.229
Pr  0.750  0.535  0.259
Pr  0.750  0.965  0.259
Tl  0.250  0.097  0.387
Tl  0.250  0.250  0.604
Tl  0.250  0.250  0.950
Tl  0.250  0.403  0.387
Tl  0.250  0.595  0.044
Tl  0.250  0.905  0.044
Tl  0.750  0.095  0.956
Tl  0.750  0.405  0.956
Tl  0.750  0.597  0.613
Tl  0.750  0.750  0.050
Tl  0.750  0.750  0.396
Tl  0.750  0.903  0.613

Most intense lines, 10 to 90 degrees two-theta, sorted by position:
2θ = 21.20°, I 54
2θ = 26.29°, I 52
2θ = 27.37°, I 98
2θ = 31.86°, I 91
2θ = 32.02°, I 100
2θ = 33.84°, I 31
2θ = 33.95°, I 29
2θ = 36.05°, I 57
2θ = 36.38°, I 70
2θ = 36.80°, I 35
2θ = 62.26°, I 33
2θ = 62.69°, I 27